1.
Theoretical PXRD pattern
Compound: La6Ag2Pt
Radiation: λ = 1.5418 Å (Cu Kα)
Structure: DFT lattice parameters and positions (GGA-PBE)

Largest 10 diffraction maxima, in order of rising 2θ, 5° ≤ 2θ ≤ 70°:
| d/Å | Position (°2θ) | I_rel | index |
| --- | --- | --- | --- |
| 3.219 | 27.72 | 27 | 3 1 0 |
| 2.979 | 30.00 | 99 | 2 2 2 |
| 2.771 | 32.31 | 100 | 1 3 2 |
| 2.753 | 32.52 | 93 | 2 3 1 |
| 2.740 | 32.68 | 75 | 3 1 2 |
| 2.615 | 34.29 | 78 | 0 0 4 |
| 2.400 | 37.47 | 24 | 4 1 1 |
| 2.281 | 39.50 | 22 | 4 2 0 |
| 2.208 | 40.86 | 34 | 2 3 3 |
| 1.687 | 54.38 | 29 | 2 3 5 |

Structure:
Unit cell a=10.1552 b=10.3495 c=10.4606 alpha=90.00 beta=90.00 gamma=90.00
Space group Immm (No. 71)
One atom of each set of equivalent atoms:
La 0.0000 0.1603 0.2468
La 0.1601 0.5000 0.2782
La 0.2356 0.3179 0.0000
Ag 0.0000 0.3549 0.5000
Ag 0.1367 0.0000 0.0000
Pt 0.0000 0.0000 0.5000
Pt 0.0000 0.5000 0.0000

***

2.
Theoretical PXRD pattern
Compound: La2Ag5Pt
Radiation: λ = 1.5418 Å (Cu Kα)
Structure: DFT lattice parameters and positions (GGA-PBE)

Largest 10 diffraction maxima, in order of rising 2θ, 5° ≤ 2θ ≤ 70°:
| d/Å | Position (°2θ) | I_rel | index |
| --- | --- | --- | --- |
| 3.178 | 28.08 | 27 | 1 1 2 |
| 2.831 | 31.61 | 100 | 1 3 2 |
| 2.711 | 33.04 | 75 | 1 5 0 |
| 2.616 | 34.27 | 31 | 1 5 1 |
| 2.588 | 34.67 | 52 | 1 1 3 |
| 2.492 | 36.04 | 23 | 0 0 4 |
| 2.201 | 41.01 | 37 | 0 6 3 |
| 2.121 | 42.63 | 48 | 2 0 0 |
| 2.101 | 43.06 | 26 | 1 5 3 |
| 2.017 | 44.95 | 27 | 0 8 2 |

Structure:
Unit cell a=4.2421 b=17.6282 c=9.9686 alpha=90.00 beta=90.00 gamma=90.00
Space group Cmcm (No. 63)
One atom of each set of equivalent atoms:
La 0.0000 0.0000 0.0000
La 0.0000 0.1757 0.2500
Ag 0.0000 0.2034 0.6092
Ag 0.0000 0.3611 0.5226
Ag 0.0000 0.3908 0.2500
Pt 0.0000 0.4518 0.7500

***

3.
Theoretical PXRD pattern
Compound: La2PuAgTe5
Radiation: λ = 1.5418 Å (Cu Kα)
Structure: DFT lattice parameters and positions (GGA-PBE)

Largest 10 diffraction maxima, in order of rising 2θ, 5° ≤ 2θ ≤ 70°:
| d/Å | Position (°2θ) | I_rel | index |
| --- | --- | --- | --- |
| 7.765 | 11.39 | 15 | 0 2 1 |
| 3.651 | 24.38 | 17 | 1 1 2 |
| 3.116 | 28.65 | 100 | 1 1 3 |
| 3.092 | 28.87 | 50 | 0 6 1 |
| 2.662 | 33.66 | 71 | 1 5 2 |
| 2.433 | 36.95 | 15 | 1 5 3 |
| 2.236 | 40.33 | 31 | 2 0 0 |
| 1.910 | 47.62 | 14 | 1 7 4 |
| 1.812 | 50.36 | 22 | 2 6 1 |
| 1.359 | 69.12 | 15 | 3 5 2 |

Structure:
Unit cell a=4.4724 b=19.0688 c=13.3835 alpha=90.00 beta=90.00 gamma=90.00
Space group Cmc2_1 (No. 36)
One atom of each set of equivalent atoms:
La 0.0000 0.1123 0.0000
La 0.0000 0.1238 0.6220
Pu 0.0000 0.1959 0.3227
Ag 0.0000 0.4338 0.7713
Te 0.0000 0.0433 0.3873
Te 0.0000 0.2907 0.9830
Te 0.0000 0.3058 0.6562
Te 0.0000 0.3607 0.3146
Te 0.0000 0.4989 0.0881

***

4.
Theoretical PXRD pattern
Compound: LaAgRh
Radiation: λ = 1.5418 Å (Cu Kα)
Structure: DFT lattice parameters and positions (GGA-PBE)

Largest 10 diffraction maxima, in order of rising 2θ, 5° ≤ 2θ ≤ 70°:
| d/Å | Position (°2θ) | I_rel | index |
| --- | --- | --- | --- |
| 2.980 | 29.99 | 21 | 0 6 0 |
| 2.729 | 32.82 | 100 | 1 1 1 |
| 2.622 | 34.20 | 45 | 1 5 0 |
| 2.505 | 35.84 | 26 | 1 3 1 |
| 2.380 | 37.80 | 54 | 0 6 1 |
| 2.186 | 41.31 | 26 | 1 5 1 |
| 1.978 | 45.88 | 24 | 0 0 2 |
| 1.928 | 47.13 | 22 | 2 0 0 |
| 1.579 | 58.45 | 19 | 1 5 2 |
| 1.498 | 61.94 | 36 | 2 6 1 |

Structure:
Unit cell a=3.8566 b=17.8785 c=3.9556 alpha=90.00 beta=90.00 gamma=90.00
Space group Cmcm (No. 63)
One atom of each set of equivalent atoms:
La 0.0000 0.0996 0.2500
Ag 0.0000 0.2849 0.2500
Rh 0.0000 0.4468 0.2500

***

5.
Theoretical PXRD pattern
Compound: LaAg2Rh2
Radiation: λ = 1.5418 Å (Cu Kα)
Structure: DFT lattice parameters and positions (GGA-PBE)

Largest 10 diffraction maxima, in order of rising 2θ, 5° ≤ 2θ ≤ 70°:
| d/Å | Position (°2θ) | I_rel | index |
| --- | --- | --- | --- |
| 3.150 | 28.34 | 9 | 0 0 4 |
| 2.906 | 30.77 | 29 | 1 0 3 |
| 2.594 | 34.58 | 100 | 1 1 2 |
| 2.136 | 42.32 | 37 | 1 0 5 |
| 2.112 | 42.82 | 19 | 1 1 4 |
| 2.013 | 45.04 | 42 | 2 0 0 |
| 1.655 | 55.53 | 11 | 2 1 3 |
| 1.643 | 55.96 | 6 | 1 0 7 |
| 1.465 | 63.51 | 22 | 2 1 5 |
| 1.423 | 65.59 | 13 | 2 2 0 |

Structure:
Unit cell a=4.0258 b=4.0258 c=12.5986 alpha=90.00 beta=90.00 gamma=90.00
Space group I4/mmm (No. 139)
One atom of each set of equivalent atoms:
La 0.0000 0.0000 0.0000
Ag 0.0000 0.5000 0.2500
Rh 0.0000 0.0000 0.4012

***

6.
Theoretical PXRD pattern
Compound: LaAg2Ru2
Radiation: λ = 1.5418 Å (Cu Kα)
Structure: DFT lattice parameters and positions (GGA-PBE)

Largest 10 diffraction maxima, in order of rising 2θ, 5° ≤ 2θ ≤ 70°:
| d/Å | Position (°2θ) | I_rel | index |
| --- | --- | --- | --- |
| 2.911 | 30.71 | 7 | 0 0 4 |
| 2.859 | 31.29 | 23 | 1 0 3 |
| 2.659 | 33.71 | 100 | 1 1 2 |
| 2.114 | 42.78 | 44 | 2 0 0 |
| 2.085 | 43.39 | 16 | 1 1 4 |
| 2.040 | 44.41 | 29 | 1 0 5 |
| 1.710 | 53.58 | 6 | 2 0 4 |
| 1.700 | 53.95 | 10 | 2 1 3 |
| 1.495 | 62.11 | 14 | 2 2 0 |
| 1.468 | 63.37 | 20 | 2 1 5 |

Structure:
Unit cell a=4.2271 b=4.2271 c=11.6444 alpha=90.00 beta=90.00 gamma=90.00
Space group I4/mmm (No. 139)
One atom of each set of equivalent atoms:
La 0.0000 0.0000 0.0000
Ag 0.0000 0.5000 0.2500
Ru 0.0000 0.0000 0.4028